No. 1
Structure and simulated powder diffraction line list of K4TiO4 (a crystal structure in Alexandria, relaxed with GGA-PBE; copper Kα).
Kinematic intensities with the Lorentz-polarization factor, no thermal factor.

Structure:
Unit cell a=10.643 b=6.693 c=10.824 alpha=90.00 beta=111.31 gamma=90.00
Fractional positions:
1 K 0.056 0.086 0.191
2 K 0.056 0.414 0.691
3 K 0.166 0.602 0.088
4 K 0.166 0.898 0.588
5 K 0.367 0.668 0.890
6 K 0.367 0.832 0.390
7 K 0.433 0.202 0.798
8 K 0.433 0.298 0.298
9 K 0.567 0.702 0.702
10 K 0.567 0.798 0.202
11 K 0.633 0.168 0.610
12 K 0.633 0.332 0.110
13 K 0.834 0.102 0.412
14 K 0.834 0.398 0.912
15 K 0.944 0.586 0.309
16 K 0.944 0.914 0.809
17 Ti 0.244 0.135 0.994
18 Ti 0.244 0.365 0.494
19 Ti 0.756 0.635 0.506
20 Ti 0.756 0.865 0.006
21 O 0.078 0.241 0.970
22 O 0.078 0.259 0.470
23 O 0.229 0.001 0.840
24 O 0.229 0.499 0.340
25 O 0.302 0.533 0.641
26 O 0.302 0.967 0.141
27 O 0.366 0.157 0.525
28 O 0.366 0.343 0.025
29 O 0.634 0.657 0.975
30 O 0.634 0.843 0.475
31 O 0.698 0.033 0.859
32 O 0.698 0.467 0.359
33 O 0.771 0.501 0.660
34 O 0.771 0.999 0.160
35 O 0.922 0.741 0.530
36 O 0.922 0.759 0.030

Principal peaks in the range 10 to 80 degrees two-theta, in order of falling intensity:
2θ (°)  I_rel
29.54  1000
30.52  878
36.01  642
36.60  540
29.34  331
52.98  206
28.13  166
15.95  163



No. 2
Structure and simulated powder diffraction line list of Ac2Te5 (a crystal structure in Alexandria, relaxed with GGA-PBE; copper Kα).
Kinematic intensities with the Lorentz-polarization factor, no thermal factor.

Structure:
Unit cell a=23.888 b=23.888 c=4.575 alpha=90.00 beta=90.00 gamma=169.01
Fractional positions:
1 Ac 0.100 0.900 0.750
2 Ac 0.307 0.693 0.750
3 Ac 0.693 0.307 0.250
4 Ac 0.900 0.100 0.250
5 Te 0.044 0.956 0.250
6 Te 0.174 0.826 0.750
7 Te 0.250 0.750 0.250
8 Te 0.379 0.621 0.750
9 Te 0.456 0.544 0.250
10 Te 0.544 0.456 0.750
11 Te 0.621 0.379 0.250
12 Te 0.750 0.250 0.750
13 Te 0.826 0.174 0.250
14 Te 0.956 0.044 0.750

Principal peaks in the range 10 to 80 degrees two-theta, in order of falling intensity:
2θ (°)  I_rel
29.16  1000
32.45  799
39.39  779
26.24  476
27.64  382
47.94  371
34.63  354
56.92  284



No. 3
Structure and simulated powder diffraction line list of Li3ThBr8 (a crystal structure in Alexandria, relaxed with GGA-PBE; copper Kα).
Kinematic intensities with the Lorentz-polarization factor, no thermal factor.

Structure:
Unit cell a=7.926 b=8.197 c=8.201 alpha=60.30 beta=61.93 gamma=61.38
Fractional positions:
1 Li 0.000 0.000 0.000
2 Li 0.000 0.000 0.500
3 Li 0.000 0.500 0.000
4 Th 0.000 0.500 0.500
5 Br 0.181 0.776 0.779
6 Br 0.238 0.258 0.762
7 Br 0.239 0.257 0.260
8 Br 0.239 0.758 0.262
9 Br 0.761 0.242 0.738
10 Br 0.761 0.743 0.740
11 Br 0.762 0.742 0.238
12 Br 0.819 0.224 0.221

Principal peaks in the range 10 to 80 degrees two-theta, in order of falling intensity:
2θ (°)  I_rel
13.37  1000
30.16  889
31.20  868
31.46  855
44.24  667
13.09  656
44.01  615
26.26  435